(1)
Starting from a crystal structure in Alexandria, relaxed with GGA-PBE, the powder X-ray diffraction pattern of CaInSnBi was computed for CuKα.

Peak list (10 most intense, 2θ = 10–90°, by angle)
d 2.796, rel. 100.0; d 2.620, rel. 20.9; d 2.381, rel. 16.0; d 2.296, rel. 17.6; d 1.762, rel. 12.9; d 1.727, rel. 12.1; d 1.544, rel. 16.7; d 1.442, rel. 13.4; d 1.404, rel. 12.2; d 1.398, rel. 12.1

Crystal structure
```
data_CaInSnBi
_chemical_formula_sum 'Ca1 In1 Sn1 Bi1'
_cell_length_a 4.5933
_cell_length_b 4.7614
_cell_length_c 5.2392
_cell_angle_alpha 90.00
_cell_angle_beta 90.00
_cell_angle_gamma 90.00
_space_group_name_H-M_alt 'P m m m'
_space_group_IT_number 47
_space_group_name_Hall '-P 2 2'
loop_
_atom_site_label
_atom_site_type_symbol
_atom_site_fract_x
_atom_site_fract_y
_atom_site_fract_z
Ca1 Ca 0.0000 0.0000 0.0000
In1 In 0.0000 0.5000 0.5000
Sn1 Sn 0.5000 0.0000 0.5000
Bi1 Bi 0.5000 0.5000 0.0000
```

(2)
Starting from a crystal structure in Alexandria, relaxed with GGA-PBE, the powder X-ray diffraction pattern of Nd4Y4Ho was computed for CuKα.

Peak list (10 most intense, 2θ = 10–90°, by angle)
d 2.953, rel. 100.0; d 2.561, rel. 33.8; d 2.549, rel. 16.7; d 1.809, rel. 29.7; d 1.545, rel. 21.2; d 1.540, rel. 14.0; d 1.537, rel. 7.0; d 1.478, rel. 6.2; d 1.475, rel. 6.0; d 1.174, rel. 8.5

Crystal structure
```
data_Nd4Y4Ho
_chemical_formula_sum 'Nd8 Y8 Ho2'
_cell_length_a 11.3918
_cell_length_b 5.1280
_cell_length_c 10.8519
_cell_angle_alpha 90.00
_cell_angle_beta 108.31
_cell_angle_gamma 90.00
_space_group_name_H-M_alt 'C 1 2/m 1'
_space_group_IT_number 12
_space_group_name_Hall '-C 2y'
loop_
_atom_site_label
_atom_site_type_symbol
_atom_site_fract_x
_atom_site_fract_y
_atom_site_fract_z
Nd1 Nd 0.0002 0.0000 0.1679
Nd2 Nd 0.1669 0.5000 0.3894
Y1 Y 0.1658 0.5000 0.0545
Y2 Y 0.1672 0.5000 0.7229
Ho1 Ho 0.0000 0.0000 0.5000
```

(3)
Starting from a crystal structure in Alexandria, relaxed with GGA-PBE, the powder X-ray diffraction pattern of Co23Ni6Rh was computed for CuKα.

Peak list (10 most intense, 2θ = 10–90°, by angle)
d 3.213, rel. 1.8; d 2.489, rel. 9.4; d 2.142, rel. 2.6; d 1.967, rel. 100.0; d 1.855, rel. 3.3; d 1.391, rel. 13.6; d 1.350, rel. 3.5; d 1.214, rel. 1.4; d 1.136, rel. 25.4; d 1.113, rel. 1.7

Crystal structure
```
data_Co23Ni6Rh
_chemical_formula_sum 'Co92 Ni24 Rh4'
_cell_length_a 11.1298
_cell_length_b 11.1298
_cell_length_c 11.1298
_cell_angle_alpha 90.00
_cell_angle_beta 90.00
_cell_angle_gamma 90.00
_space_group_name_H-M_alt 'F m -3 m'
_space_group_IT_number 225
_space_group_name_Hall '-F 4 2 3'
loop_
_atom_site_label
_atom_site_type_symbol
_atom_site_fract_x
_atom_site_fract_y
_atom_site_fract_z
Co1 Co 0.0000 0.0000 0.0000
Co2 Co 0.0000 0.2500 0.2500
Co3 Co 0.1287 0.1287 0.1287
Co4 Co 0.1393 0.1393 0.3607
Ni1 Ni 0.0000 0.0000 0.2579
Rh1 Rh 0.0000 0.0000 0.5000
```

(4)
Starting from a crystal structure in Alexandria, relaxed with GGA-PBE, the powder X-ray diffraction pattern of Pu2As3Pt2 was computed for CuKα.

Peak list (10 most intense, 2θ = 10–90°, by angle)
d 3.291, rel. 23.3; d 3.144, rel. 15.2; d 3.075, rel. 48.5; d 2.771, rel. 35.0; d 2.739, rel. 100.0; d 2.703, rel. 31.2; d 2.575, rel. 37.5; d 2.465, rel. 52.3; d 2.430, rel. 27.5; d 2.065, rel. 54.1

Crystal structure
```
data_Pu2As3Pt2
_chemical_formula_sum 'Pu4 As6 Pt4'
_cell_length_a 7.5616
_cell_length_b 4.1290
_cell_length_c 9.3244
_cell_angle_alpha 90.00
_cell_angle_beta 98.69
_cell_angle_gamma 90.00
_space_group_name_H-M_alt 'P 1 21/m 1'
_space_group_IT_number 11
_space_group_name_Hall '-P 2yb'
loop_
_atom_site_label
_atom_site_type_symbol
_atom_site_fract_x
_atom_site_fract_y
_atom_site_fract_z
Pu1 Pu 0.1944 0.2500 0.1570
Pu2 Pu 0.2959 0.7500 0.7454
As1 As 0.0748 0.2500 0.8569
As2 As 0.2469 0.2500 0.4781
As3 As 0.4507 0.7500 0.1217
Pt1 Pt 0.0441 0.7500 0.4053
Pt2 Pt 0.4358 0.7500 0.3934
```

Q: What is the formula in the second record?
A: Nd4Y4Ho

What did the second record say?
Starting from a crystal structure in Alexandria, relaxed with GGA-PBE, the powder X-ray diffraction pattern of Nd4Y4Ho was computed for CuKα.

Peak list (10 most intense, 2θ = 10–90°, by angle)
d 2.953, rel. 100.0; d 2.561, rel. 33.8; d 2.549, rel. 16.7; d 1.809, rel. 29.7; d 1.545, rel. 21.2; d 1.540, rel. 14.0; d 1.537, rel. 7.0; d 1.478, rel. 6.2; d 1.475, rel. 6.0; d 1.174, rel. 8.5

Crystal structure
```
data_Nd4Y4Ho
_chemical_formula_sum 'Nd8 Y8 Ho2'
_cell_length_a 11.3918
_cell_length_b 5.1280
_cell_length_c 10.8519
_cell_angle_alpha 90.00
_cell_angle_beta 108.31
_cell_angle_gamma 90.00
_space_group_name_H-M_alt 'C 1 2/m 1'
_space_group_IT_number 12
_space_group_name_Hall '-C 2y'
loop_
_atom_site_label
_atom_site_type_symbol
_atom_site_fract_x
_atom_site_fract_y
_atom_site_fract_z
Nd1 Nd 0.0002 0.0000 0.1679
Nd2 Nd 0.1669 0.5000 0.3894
Y1 Y 0.1658 0.5000 0.0545
Y2 Y 0.1672 0.5000 0.7229
Ho1 Ho 0.0000 0.0000 0.5000
```